# 1
Starting from DFT lattice parameters and positions (PBE+U), the powder diffractogram of NdMn5Cu2O12 was calculated for CuKα.

Cell and atoms:
Cell: 7.399 7.517 7.599 Å, 90.00 90.00 90.00°
Space group Immm (No. 71)
Symmetry-distinct sites (fractional):
Nd 0.000 0.000 0.000 (multiplicity 2)
Mn 0.000 0.000 0.500 (multiplicity 2)
Mn 0.250 0.250 0.250 (multiplicity 8)
Cu 0.000 0.500 0.000 (multiplicity 2)
Cu 0.000 0.500 0.500 (multiplicity 2)
O 0.000 0.172 0.302 (multiplicity 8)
O 0.176 0.312 0.000 (multiplicity 8)
O 0.195 0.500 0.331 (multiplicity 8)

Largest 6 diffraction maxima, in order of falling intensity, 10 to 80 degrees two-theta:
d/Å  I_rel
2.672  1000
2.637  936
2.651  927
1.541  469
1.533  466
1.521  438

# 2
Starting from DFT lattice parameters and positions (PBE+U), the powder diffractogram of NdMn4Cu3O12 was calculated for CuKα.

Cell and atoms:
Cell: 7.446 7.446 7.446 Å, 90.00 90.00 90.00°
Space group Im-3 (No. 204)
Symmetry-distinct sites (fractional):
Nd 0.000 0.000 0.000 (multiplicity 2)
Mn 0.250 0.250 0.250 (multiplicity 8)
Cu 0.000 0.000 0.500 (multiplicity 6)
O 0.000 0.306 0.170 (multiplicity 24)

Largest 6 diffraction maxima, in order of falling intensity, 10 to 80 degrees two-theta:
d/Å  I_rel
2.633  1000
1.520  475
1.862  248
1.316  119
5.265  110
2.355  94

# 3
Starting from DFT lattice parameters and positions (PBE+U), the powder diffractogram of Sr2Nd2MnCuO8 was calculated for CuKα.

Cell and atoms:
Cell: 3.837 6.931 14.902 Å, 80.18 82.62 74.03°
Space group P-1 (No. 2)
Symmetry-distinct sites (fractional):
Sr 0.144 0.250 0.465 (multiplicity 2)
Sr 0.144 0.995 0.717 (multiplicity 2)
Nd 0.132 0.757 0.963 (multiplicity 2)
Nd 0.138 0.517 0.211 (multiplicity 2)
Mn 0.499 0.372 0.626 (multiplicity 2)
Cu 0.498 0.122 0.877 (multiplicity 2)
O 0.006 0.621 0.369 (multiplicity 2)
O 0.007 0.871 0.119 (multiplicity 2)
O 0.307 0.436 0.922 (multiplicity 2)
O 0.323 0.209 0.156 (multiplicity 2)
O 0.338 0.644 0.676 (multiplicity 2)
O 0.347 0.903 0.412 (multiplicity 2)
O 0.495 0.255 0.754 (multiplicity 2)
O 0.500 0.000 0.000 (multiplicity 1)
O 0.500 0.500 0.500 (multiplicity 1)

Largest 6 diffraction maxima, in order of falling intensity, 10 to 80 degrees two-theta:
d/Å  I_rel
2.711  1000
2.845  716
1.917  510
2.827  372
2.858  350
2.120  299

# 4
Starting from DFT lattice parameters and positions (PBE+U), the powder diffractogram of Sr2Nd2MnCuO8 was calculated for CuKα.

Cell and atoms:
Cell: 3.853 3.853 12.671 Å, 90.00 90.00 90.00°
Space group P4/mmm (No. 123)
Symmetry-distinct sites (fractional):
Sr 0.000 0.000 0.144 (multiplicity 2)
Nd 0.500 0.500 0.362 (multiplicity 2)
Mn 0.500 0.500 0.000 (multiplicity 1)
Cu 0.000 0.000 0.500 (multiplicity 1)
O 0.000 0.000 0.341 (multiplicity 2)
O 0.000 0.500 0.000 (multiplicity 2)
O 0.000 0.500 0.500 (multiplicity 2)
O 0.500 0.500 0.185 (multiplicity 2)

Largest 6 diffraction maxima, in order of falling intensity, 10 to 80 degrees two-theta:
d/Å  I_rel
2.847  1000
2.725  707
1.927  367
1.596  362
2.066  277
1.424  207

# 5
Starting from DFT lattice parameters and positions (PBE+U), the powder diffractogram of Mn3Cu2NiP6O24 was calculated for CuKα.

Cell and atoms:
Cell: 8.5290 8.5290 20.8205 Å, 90.00 90.00 120.00°
Space group R3 (No. 146, hexagonal axes)
Symmetry-distinct sites (fractional):
Mn 0.0000 0.0000 0.0000 (multiplicity 3)
Mn 0.0000 0.0000 0.2159 (multiplicity 3)
Mn 0.0000 0.0000 0.7156 (multiplicity 3)
Cu 0.0000 0.0000 0.3602 (multiplicity 3)
Cu 0.0000 0.0000 0.8587 (multiplicity 3)
Ni 0.0000 0.0000 0.4998 (multiplicity 3)
P 0.0006 0.7112 0.1066 (multiplicity 9)
P 0.0433 0.3755 0.2746 (multiplicity 9)
O 0.0014 0.8112 0.0454 (multiplicity 9)
O 0.0047 0.2039 0.5461 (multiplicity 9)
O 0.0216 0.1811 0.2814 (multiplicity 9)
O 0.0289 0.8429 0.7793 (multiplicity 9)
O 0.1431 0.4683 0.3368 (multiplicity 9)
O 0.1432 0.6733 0.8358 (multiplicity 9)
O 0.1678 0.6884 0.1000 (multiplicity 9)
O 0.1713 0.4865 0.6047 (multiplicity 9)

Largest 6 diffraction maxima, in order of falling intensity, 10 to 80 degrees two-theta:
d/Å  I_rel
4.264  1000
3.633  863
2.692  765
1.611  424
2.462  382
1.904  345

# 6
Starting from DFT lattice parameters and positions (PBE+U), the powder diffractogram of MnCuO4 was calculated for CuKα.

Cell and atoms:
Cell: 5.808 5.855 7.965 Å, 90.00 90.00 90.00°
Space group Imma (No. 74)
Symmetry-distinct sites (fractional):
Mn 0.000 0.000 0.000 (multiplicity 4)
Cu 0.000 0.250 0.376 (multiplicity 4)
O 0.000 0.001 0.765 (multiplicity 8)
O 0.219 0.250 0.000 (multiplicity 8)

Largest 6 diffraction maxima, in order of falling intensity, 10 to 80 degrees two-theta:
d/Å  I_rel
2.484  1000
2.865  690
2.904  613
4.718  591
2.415  565
1.432  462

# 7
Starting from DFT lattice parameters and positions (PBE+U), the powder diffractogram of Mn3CuO8 was calculated for CuKα.

Cell and atoms:
Cell: 5.8314 5.8314 14.3678 Å, 90.00 90.00 120.00°
Space group R-3m (No. 166, hexagonal axes)
Symmetry-distinct sites (fractional):
Mn 0.0000 0.5000 0.0000 (multiplicity 9)
Cu 0.0000 0.0000 0.5000 (multiplicity 3)
O 0.0000 0.0000 0.2650 (multiplicity 6)
O 0.0380 0.5190 0.2566 (multiplicity 18)

Largest 6 diffraction maxima, in order of falling intensity, 10 to 80 degrees two-theta:
d/Å  I_rel
4.769  1000
2.066  489
2.490  258
1.589  131
1.458  127
1.464  127

# 8
Starting from DFT lattice parameters and positions (PBE+U), the powder diffractogram of Mn3CuO8 was calculated for CuKα.

Cell and atoms:
Cell: 5.8610 5.8610 14.2739 Å, 90.00 90.00 120.00°
Space group R-3m (No. 166, hexagonal axes)
Symmetry-distinct sites (fractional):
Mn 0.0000 0.5000 0.0000 (multiplicity 9)
Cu 0.0000 0.0000 0.0000 (multiplicity 3)
O 0.0000 0.0000 0.2656 (multiplicity 6)
O 0.0045 0.5023 0.2658 (multiplicity 18)

Largest 6 diffraction maxima, in order of falling intensity, 10 to 80 degrees two-theta:
d/Å  I_rel
4.758  1000
2.068  484
2.499  354
1.590  150
1.400  142
1.465  139